# Ba2MgCdAs4
Calculated PXRD pattern, Cu Kα, 1.54184 Å. Input: DFT lattice parameters and positions (PBE).
Peak positions follow from Bragg's law for the DFT cell and can differ from measured ones.

The 8 most intense peaks (2θ from 5° to 70°), by angle:
two_theta, Rel. int., index
21.09, 25, 1 0 1
27.89, 72, 1 0 5
33.14, 100, 1 1 4
39.71, 28, 1 0 9
42.27, 50, 2 0 0
51.39, 26, 2 1 5
59.37, 17, 2 1 9
61.29, 13, 2 2 0

```
data_Ba2MgCdAs4
_space_group_name_H-M_alt 'I -4 m 2'
_space_group_IT_number 119
_space_group_name_Hall 'I -4 -2'
_cell_length_a 4.2776
_cell_length_b 4.2776
_cell_length_c 24.0991
_cell_angle_alpha 90.00
_cell_angle_beta 90.00
_cell_angle_gamma 90.00
loop_
_atom_site_label
_atom_site_type_symbol
_atom_site_fract_x
_atom_site_fract_y
_atom_site_fract_z
Ba1 Ba 0.0000 0.0000 0.1093
Mg1 Mg 0.0000 0.5000 0.2500
Cd1 Cd 0.0000 0.5000 0.7500
As1 As 0.0000 0.0000 0.3206
As2 As 0.0000 0.5000 0.9998
```